No. 1
LiMg6MnO8: simulated powder X-ray diffraction pattern (Cu Kα), based on a cell relaxed with PBE+U.
Kinematic intensities with the Lorentz-polarization factor, no thermal factor.

Top 6 peaks for 15° ≤ 2θ ≤ 90°, low angle first:
2θ (°), intensity, index
23.37, 18, 1 0 1
31.53, 13, 1 1 1
36.58, 13, 1 1 2
42.49, 100, 2 0 0
61.65, 55, 2 2 0
77.75, 16, 2 2 4

Structure:
Cell lengths 4.257, 4.257, 8.503 Å; angles 90.00, 90.00, 90.00 degrees
Space group P4/mmm (No. 123)
Symmetry-distinct sites (fractional):
Li  0.000  0.000  0.000
Mg  0.000  0.500  0.239
Mg  0.500  0.500  0.000
Mg  0.500  0.500  0.500
Mn  0.000  0.000  0.500
O  0.000  0.000  0.271
O  0.000  0.500  0.000
O  0.000  0.500  0.500
O  0.500  0.500  0.254

No. 2
LiMg6MnO8: simulated powder X-ray diffraction pattern (Cu Kα), based on a cell relaxed with PBE+U.
Kinematic intensities with the Lorentz-polarization factor, no thermal factor.

Top 6 peaks for 15° ≤ 2θ ≤ 90°, low angle first:
2θ (°), intensity, index
23.49, 27, 1 0 1
42.43, 51, 0 0 4
42.78, 100, 2 0 0
61.83, 56, 2 0 4
62.10, 28, 2 2 0
78.11, 25, 2 2 4

Structure:
Cell lengths 4.227, 4.227, 8.521 Å; angles 90.00, 90.00, 90.00 degrees
Space group P4/mmm (No. 123)
Symmetry-distinct sites (fractional):
Li  0.000  0.000  0.000
Mg  0.000  0.000  0.500
Mg  0.000  0.500  0.245
Mg  0.500  0.500  0.500
Mn  0.500  0.500  0.000
O  0.000  0.000  0.256
O  0.000  0.500  0.000
O  0.000  0.500  0.500
O  0.500  0.500  0.239

No. 3
Li4MgNi3O8: simulated powder X-ray diffraction pattern (Cu Kα), based on a cell relaxed with PBE+U.
Kinematic intensities with the Lorentz-polarization factor, no thermal factor.

Top 6 peaks for 15° ≤ 2θ ≤ 90°, low angle first:
2θ (°), intensity, index
18.56, 100, 0 1 1
36.18, 14, 0 1 -3
36.46, 26, 2 1 -1
43.72, 27, 0 0 4
44.24, 52, 2 2 0
64.18, 14, 2 -2 4

Structure:
Cell lengths 5.774, 5.809, 8.282 Å; angles 89.36, 89.99, 89.99 degrees
Space group P-1 (No. 2)
Symmetry-distinct sites (fractional):
Li  0.000  0.000  0.000
Li  0.000  0.500  0.500
Li  0.248  0.250  0.750
Li  0.250  0.749  0.251
Li  0.500  0.000  0.000
Li  0.500  0.500  0.500
Mg  0.251  0.750  0.750
Ni  0.000  0.000  0.500
Ni  0.000  0.500  0.000
Ni  0.248  0.250  0.250
Ni  0.500  0.000  0.500
Ni  0.500  0.500  0.000
O  0.012  0.016  0.271
O  0.012  0.485  0.229
O  0.227  0.238  0.505
O  0.227  0.261  0.995
O  0.246  0.780  0.502
O  0.247  0.720  0.998
O  0.486  0.017  0.264
O  0.486  0.483  0.237

No. 4
Li3MgNi3O8: simulated powder X-ray diffraction pattern (Cu Kα), based on a cell relaxed with PBE+U.
Kinematic intensities with the Lorentz-polarization factor, no thermal factor.

Top 6 peaks for 15° ≤ 2θ ≤ 90°, low angle first:
2θ (°), intensity, index
18.25, 100, 0 1 0
36.32, 12, 1 0 -2
37.34, 11, 2 -1 0
43.42, 22, 1 1 -2
44.22, 21, 1 1 2
44.99, 20, 2 -2 0

Structure:
Cell lengths 4.902, 5.099, 5.782 Å; angles 90.61, 90.55, 107.53 degrees
Space group P1 (No. 1)
Symmetry-distinct sites (fractional):
Li  0.000  0.000  0.000
Li  0.000  0.002  0.462
Li  0.507  0.003  0.705
Mg  0.004  0.505  0.718
Ni  0.003  0.500  0.221
Ni  0.504  0.504  0.464
Ni  0.505  0.501  0.970
O  0.240  0.709  0.987
O  0.244  0.710  0.457
O  0.249  0.285  0.234
O  0.294  0.283  0.704
O  0.729  0.738  0.696
O  0.743  0.707  0.224
O  0.761  0.294  0.453
O  0.768  0.292  0.978

No. 5
Li3MgNi3O8: simulated powder X-ray diffraction pattern (Cu Kα), based on a cell relaxed with PBE+U.
Kinematic intensities with the Lorentz-polarization factor, no thermal factor.

Top 6 peaks for 15° ≤ 2θ ≤ 90°, low angle first:
2θ (°), intensity, index
18.33, 100, 0 0 1
36.53, 23, 1 2 0
37.14, 15, 2 0 -1
43.94, 44, 1 2 1
44.72, 20, 2 0 -2
65.43, 11, 3 2 -1

Structure:
Cell lengths 4.919, 5.787, 5.096 Å; angles 90.00, 108.18, 90.00 degrees
Space group P2/m (No. 10)
Symmetry-distinct sites (fractional):
Li  0.000  0.000  0.000
Li  0.500  0.259  0.000
Mg  0.500  0.000  0.500
Ni  0.000  0.253  0.500
Ni  0.500  0.500  0.500
O  0.218  0.000  0.726
O  0.250  0.500  0.708
O  0.256  0.263  0.291

No. 6
Li4MgNi3O8: simulated powder X-ray diffraction pattern (Cu Kα), based on a cell relaxed with PBE+U.
Kinematic intensities with the Lorentz-polarization factor, no thermal factor.

Top 6 peaks for 15° ≤ 2θ ≤ 90°, low angle first:
2θ (°), intensity, index
18.54, 100, 0 1 1
36.40, 27, 2 1 3
43.71, 27, 0 2 -2
44.18, 52, 2 2 4
63.60, 14, 2 4 2
64.14, 14, 2 2 -4

Structure:
Cell lengths 5.785, 5.851, 10.032 Å; angles 73.36, 73.28, 60.41 degrees
Space group P-1 (No. 2)
Symmetry-distinct sites (fractional):
Li  0.000  0.000  0.000
Li  0.000  0.500  0.500
Li  0.243  0.255  0.746
Li  0.256  0.756  0.245
Li  0.500  0.000  0.000
Li  0.500  0.500  0.500
Mg  0.248  0.750  0.750
Ni  0.000  0.000  0.500
Ni  0.000  0.500  0.000
Ni  0.254  0.250  0.250
Ni  0.500  0.000  0.500
Ni  0.500  0.500  0.000
O  0.092  0.658  0.626
O  0.124  0.158  0.126
O  0.145  0.107  0.612
O  0.152  0.626  0.117
O  0.363  0.393  0.888
O  0.382  0.338  0.378
O  0.395  0.874  0.383
O  0.402  0.838  0.878

No. 7
Li4MgNi3O8: simulated powder X-ray diffraction pattern (Cu Kα), based on a cell relaxed with PBE+U.
Kinematic intensities with the Lorentz-polarization factor, no thermal factor.

Top 6 peaks for 15° ≤ 2θ ≤ 90°, low angle first:
2θ (°), intensity, index
18.59, 100, 0 0 1
36.27, 29, 2 2 -1
43.87, 53, 2 2 -2
44.56, 26, 4 0 0
64.17, 21, 0 4 0
64.47, 14, 6 2 -2

Structure:
Cell lengths 10.002, 5.806, 5.869 Å; angles 90.00, 125.59, 90.00 degrees
Space group C2/m (No. 12)
Symmetry-distinct sites (fractional):
Li  0.000  0.000  0.000
Li  0.000  0.500  0.000
Li  0.250  0.250  0.000
Mg  0.000  0.000  0.500
Ni  0.000  0.500  0.500
Ni  0.250  0.250  0.500
O  0.011  0.266  0.281
O  0.234  0.500  0.744
O  0.249  0.000  0.712

No. 8
Li3MgNi3O8: simulated powder X-ray diffraction pattern (Cu Kα), based on a cell relaxed with PBE+U.
Kinematic intensities with the Lorentz-polarization factor, no thermal factor.

Top 6 peaks for 15° ≤ 2θ ≤ 90°, low angle first:
2θ (°), intensity, index
18.23, 100, 0 1 0
36.34, 12, 1 0 -2
36.78, 11, 1 0 2
43.45, 22, 1 1 -2
44.24, 21, 1 1 2
44.88, 20, 2 -2 0

Structure:
Cell lengths 4.904, 5.109, 5.782 Å; angles 90.65, 90.51, 107.71 degrees
Space group P1 (No. 1)
Symmetry-distinct sites (fractional):
Li  0.000  0.000  0.000
Li  0.003  0.003  0.465
Li  0.510  0.006  0.702
Mg  0.005  0.506  0.722
Ni  0.004  0.501  0.225
Ni  0.506  0.502  0.974
Ni  0.506  0.505  0.468
O  0.242  0.709  0.991
O  0.247  0.711  0.462
O  0.251  0.287  0.237
O  0.295  0.283  0.707
O  0.732  0.740  0.700
O  0.747  0.709  0.229
O  0.762  0.295  0.456
O  0.768  0.294  0.982

No. 9
Li4MgNi3O8: simulated powder X-ray diffraction pattern (Cu Kα), based on a cell relaxed with PBE+U.
Kinematic intensities with the Lorentz-polarization factor, no thermal factor.

Top 6 peaks for 15° ≤ 2θ ≤ 90°, low angle first:
2θ (°), intensity, index
18.59, 100, 0 0 3
36.44, 40, 0 2 1
44.15, 80, 0 2 4
63.94, 21, 2 0 8
64.48, 22, 2 2 0
67.75, 15, 2 2 3

Structure:
Cell lengths 5.7802, 5.7802, 14.3215 Å; angles 90.00, 90.00, 120.00 degrees
Space group R-3m (No. 166, hexagonal axes)
Symmetry-distinct sites (fractional):
Li  0.0000  0.0000  0.0000
Li  0.0000  0.5000  0.0000
Mg  0.0000  0.0000  0.5000
Ni  0.0000  0.5000  0.5000
O  0.0000  0.0000  0.2474
O  0.0177  0.5089  0.7608

No. 10
Li3MgV8O16: simulated powder X-ray diffraction pattern (Cu Kα), based on a cell relaxed with PBE+U.
Kinematic intensities with the Lorentz-polarization factor, no thermal factor.

Top 6 peaks for 15° ≤ 2θ ≤ 90°, low angle first:
2θ (°), intensity, index
18.09, 100, 0 0 2
34.86, 47, 2 2 0
35.34, 23, 4 0 -2
42.30, 50, 2 2 2
43.13, 23, 4 0 -4
61.89, 20, 6 2 -2

Structure:
Cell lengths 10.368, 6.035, 10.321 Å; angles 90.00, 108.38, 90.00 degrees
Space group Cm (No. 8)
Symmetry-distinct sites (fractional):
Li  0.000  0.000  0.000
Li  0.004  0.500  0.507
Li  0.375  0.500  0.628
Mg  0.190  0.500  0.066
V  0.186  0.257  0.815
V  0.187  0.000  0.563
V  0.187  0.250  0.322
V  0.376  0.000  0.132
V  0.438  0.500  0.318
V  0.439  0.000  0.814
O  0.069  0.222  0.444
O  0.070  0.266  0.922
O  0.072  0.000  0.212
O  0.073  0.500  0.196
O  0.077  0.500  0.706
O  0.086  0.000  0.696
O  0.294  0.500  0.921
O  0.298  0.000  0.451
O  0.302  0.000  0.930
O  0.303  0.225  0.701
O  0.304  0.500  0.424
O  0.308  0.264  0.196

Q: Number 8 is which compound?
A: Li3MgNi3O8